# 1
Starting from DFT lattice parameters and positions (GGA-PBE), the powder X-ray diffraction pattern of KNaTl2Cl8 was calculated for Cu Kα.
Intensities are scaled so that the largest is 100.

Most intense lines, 2θ = 10–90°, by angle:
Position (°2θ)	I_rel	hkl
14.1	73	1 0 1
21.4	39	1 0 3
21.6	100	1 1 2
29.7	27	1 2 1
34.8	46	2 0 4
37.1	23	2 2 0
39.3	22	1 1 6
41.3	16	2 1 5
43.3	36	1 3 2
55.1	16	3 1 6

Structural model:
```
data_KNaTl2Cl8
_chemical_formula_sum 'K2 Na2 Tl4 Cl16'
_cell_length_a 6.854
_cell_length_b 6.854
_cell_length_c 15.629
_cell_angle_alpha 90.00
_cell_angle_beta 90.00
_cell_angle_gamma 90.00
_space_group_name_H-M_alt 'I -4'
_space_group_IT_number 82
loop_
_space_group_symop_operation_xyz
'x,y,z'
'y,-x,-z'
'-x,-y,z'
'-y,x,-z'
'x+1/2,y+1/2,z+1/2'
'y+1/2,-x+1/2,-z+1/2'
'-x+1/2,-y+1/2,z+1/2'
'-y+1/2,x+1/2,-z+1/2'
loop_
_atom_site_label
_atom_site_fract_x
_atom_site_fract_y
_atom_site_fract_z
K1 0.000 0.000 0.000
Na1 0.000 0.500 0.750
Tl1 0.000 0.000 0.500
Tl2 0.000 0.500 0.250
Cl1 0.165 0.253 0.588
Cl2 0.178 0.759 0.170
```

# 2
Starting from DFT lattice parameters and positions (GGA-PBE), the powder X-ray diffraction pattern of K3NaV2Cl9 was calculated for Cu Kα.
Intensities are scaled so that the largest is 100.

Most intense lines, 2θ = 10–90°, by angle:
Position (°2θ)	I_rel	hkl
17.5	32	1 0 1
24.8	19	0 1 2
25.0	16	1 1 0
30.4	16	0 0 3
30.7	49	0 2 1
35.5	100	2 0 2
50.9	30	0 2 4
51.3	31	2 2 0
63.9	14	0 4 2
86.3	12	4 2 2

Structural model:
```
data_K3NaV2Cl9
_chemical_formula_sum 'K3 Na1 V2 Cl9'
_cell_length_a 7.1260
_cell_length_b 7.1260
_cell_length_c 8.8200
_cell_angle_alpha 90.00
_cell_angle_beta 90.00
_cell_angle_gamma 120.00
_space_group_name_H-M_alt 'P -3 m 1'
_space_group_IT_number 164
_space_group_name_Hall '-P 3 2"'
loop_
_atom_site_label
_atom_site_fract_x
_atom_site_fract_y
_atom_site_fract_z
K1 0.0000 0.0000 0.0000
K2 0.3333 0.6667 0.6554
Na1 0.0000 0.0000 0.5000
V1 0.3333 0.6667 0.1615
Cl1 0.0000 0.5000 0.0000
Cl2 0.1751 0.3502 0.3159
```

# 3
Starting from DFT lattice parameters and positions (GGA-PBE), the powder X-ray diffraction pattern of KNaZrCl6 was calculated for Cu Kα.
Intensities are scaled so that the largest is 100.

Most intense lines, 2θ = 10–90°, by angle:
Position (°2θ)	I_rel	hkl
13.3	50	0 0 2
16.0	87	1 0 1
19.7	90	1 0 2
28.7	100	1 1 2
32.3	18	2 0 2
37.2	98	1 1 4
41.4	28	2 1 2
44.5	43	3 0 0
48.5	24	2 -1 6
59.4	19	4 -2 4

Structural model:
```
data_KNaZrCl6
_chemical_formula_sum 'K2 Na2 Zr2 Cl12'
_cell_length_a 7.0465
_cell_length_b 7.0465
_cell_length_c 13.3153
_cell_angle_alpha 90.00
_cell_angle_beta 90.00
_cell_angle_gamma 120.00
_space_group_name_H-M_alt 'P -3 1 c'
_space_group_IT_number 163
_space_group_name_Hall '-P 3 2c'
loop_
_atom_site_label
_atom_site_fract_x
_atom_site_fract_y
_atom_site_fract_z
K1 0.0000 0.0000 0.0000
Na1 0.3333 0.6667 0.2500
Zr1 0.3333 0.6667 0.7500
Cl1 0.0360 0.3862 0.6415
```

# 4
Starting from DFT lattice parameters and positions (GGA-PBE), the powder X-ray diffraction pattern of KNbCl6 was calculated for Cu Kα.
Intensities are scaled so that the largest is 100.

Most intense lines, 2θ = 10–90°, by angle:
Position (°2θ)	I_rel	hkl
15.0	100	1 1 0
16.8	20	0 2 0
17.6	28	1 0 -1
29.3	35	1 1 2
30.3	17	2 2 0
34.0	22	0 4 0
35.7	28	2 0 2
40.1	12	1 0 3
46.9	12	2 1 3
50.2	17	2 4 2

Structural model:
```
data_KNbCl6
_chemical_formula_sum 'K2 Nb2 Cl12'
_cell_length_a 7.104
_cell_length_b 10.536
_cell_length_c 7.112
_cell_angle_alpha 90.00
_cell_angle_beta 90.11
_cell_angle_gamma 90.00
_space_group_name_H-M_alt 'P 1 21 1'
_space_group_IT_number 4
loop_
_space_group_symop_operation_xyz
'x,y,z'
'-x,y+1/2,-z'
loop_
_atom_site_label
_atom_site_fract_x
_atom_site_fract_y
_atom_site_fract_z
K1 0.242 0.000 0.275
Nb1 0.245 0.251 0.763
Cl1 0.037 0.756 0.059
Cl2 0.060 0.253 0.481
Cl3 0.238 0.024 0.760
Cl4 0.255 0.477 0.760
Cl5 0.425 0.246 0.044
Cl6 0.474 0.746 0.422
```

# 5
Starting from DFT lattice parameters and positions (GGA-PBE), the powder X-ray diffraction pattern of KNbCl6 was calculated for Cu Kα.
Intensities are scaled so that the largest is 100.

Most intense lines, 2θ = 10–90°, by angle:
Position (°2θ)	I_rel	hkl
14.2	46	0 0 1
14.7	69	1 1 0
17.3	100	1 1 -1
18.6	32	0 2 0
23.4	46	0 2 1
33.6	55	3 1 -1
34.3	70	0 2 2
35.4	41	1 3 1
45.1	27	4 0 -2
53.8	23	3 3 -3

Structural model:
```
data_KNbCl6
_chemical_formula_sum 'K2 Nb2 Cl12'
_cell_length_a 8.356
_cell_length_b 9.559
_cell_length_c 6.695
_cell_angle_alpha 90.00
_cell_angle_beta 111.21
_cell_angle_gamma 90.00
_space_group_name_H-M_alt 'C 1 2/m 1'
_space_group_IT_number 12
loop_
_space_group_symop_operation_xyz
'x,y,z'
'-x,-y,-z'
'-x,y,-z'
'x,-y,z'
'x+1/2,y+1/2,z'
'-x+1/2,-y+1/2,-z'
'-x+1/2,y+1/2,-z'
'x+1/2,-y+1/2,z'
loop_
_atom_site_label
_atom_site_fract_x
_atom_site_fract_y
_atom_site_fract_z
K1 0.000 0.000 0.000
Nb1 0.000 0.500 0.500
Cl1 0.095 0.325 0.771
Cl2 0.223 0.000 0.527
```

# 6
Starting from DFT lattice parameters and positions (GGA-PBE), the powder X-ray diffraction pattern of KNb2Cl11 was calculated for Cu Kα.
Intensities are scaled so that the largest is 100.

Most intense lines, 2θ = 10–90°, by angle:
Position (°2θ)	I_rel	hkl
10.0	21	0 0 2
14.1	56	1 0 -1
14.3	100	0 1 2
14.6	91	1 0 2
17.3	93	1 -1 0
17.7	19	1 1 0
20.1	20	0 0 4
23.2	28	1 1 4
28.4	60	2 0 -2
35.0	36	2 -2 0

Structural model:
```
data_KNb2Cl11
_chemical_formula_sum 'K2 Nb4 Cl22'
_cell_length_a 7.245
_cell_length_b 7.354
_cell_length_c 18.240
_cell_angle_alpha 79.05
_cell_angle_beta 80.52
_cell_angle_gamma 89.39
_space_group_name_H-M_alt 'P -1'
_space_group_IT_number 2
loop_
_space_group_symop_operation_xyz
'x,y,z'
'-x,-y,-z'
loop_
_atom_site_label
_atom_site_fract_x
_atom_site_fract_y
_atom_site_fract_z
K1 0.246 0.249 0.498
Nb1 0.163 0.672 0.913
Nb2 0.309 0.821 0.355
Cl1 0.013 0.521 0.837
Cl2 0.069 0.589 0.370
Cl3 0.092 0.960 0.855
Cl4 0.093 0.059 0.336
Cl5 0.163 0.348 0.999
Cl6 0.217 0.808 0.494
Cl7 0.275 0.780 0.010
Cl8 0.396 0.824 0.227
Cl9 0.454 0.962 0.640
Cl10 0.455 0.627 0.852
Cl11 0.477 0.425 0.613
```

# 7
Starting from DFT lattice parameters and positions (GGA-PBE), the powder X-ray diffraction pattern of KNbCl6 was calculated for Cu Kα.
Intensities are scaled so that the largest is 100.

Most intense lines, 2θ = 10–90°, by angle:
Position (°2θ)	I_rel	hkl
15.0	100	1 0 1
17.4	58	0 1 2
29.0	36	1 1 3
30.4	28	2 0 2
35.2	66	0 2 4
39.5	24	1 2 2
46.3	23	0 3 3
50.6	40	2 2 0
53.1	20	2 1 7
85.1	15	2 2 12

Structural model:
```
data_KNbCl6
_chemical_formula_sum 'K3 Nb3 Cl18'
_cell_length_a 7.2134
_cell_length_b 7.2134
_cell_length_c 17.6557
_cell_angle_alpha 90.00
_cell_angle_beta 90.00
_cell_angle_gamma 120.00
_space_group_name_H-M_alt 'R 3 m'
_space_group_IT_number 160
_space_group_name_Hall 'R 3 -2"'
loop_
_atom_site_label
_atom_site_fract_x
_atom_site_fract_y
_atom_site_fract_z
K1 0.0000 0.0000 0.0000
Nb1 0.0000 0.0000 0.2504
Cl1 0.0217 0.5108 0.9951
Cl2 0.1775 0.3550 0.8391
```